# CsCeUS4
Simulated powder diffraction line list, Cu Ka. Input: a cell relaxed with PBE.

Structure:
Cell: 8.6650 8.6650 8.6650 Å, 121.19 117.70 90.99°
Element x y z (fractional)
1 Cs 0.3850 0.1350 0.2500
2 Cs 0.6150 0.8650 0.7500
3 Ce 0.0000 0.5000 0.5000
4 Ce 0.5000 0.5000 0.0000
5 U 0.0000 0.0000 0.5000
6 U 0.0000 0.5000 0.0000
7 S 0.1741 0.7322 0.4419
8 S 0.2096 0.2678 0.9419
9 S 0.2220 0.2661 0.5441
10 S 0.2220 0.6779 0.9559
11 S 0.7780 0.3221 0.0441
12 S 0.7780 0.7339 0.4559
13 S 0.7904 0.7322 0.0581
14 S 0.8259 0.2678 0.5581

Principal peaks in the range 2θ = 5–70°, in order of rising 2θ:
2theta	Rel. int.
12.27	51
20.52	25
23.60	39
24.12	34
24.30	100
24.68	27
28.94	31
37.52	40
38.39	21
41.73	65

***

# K4MnS4
Simulated powder diffraction line list, Cu Ka. Input: a cell relaxed with PBE.

Structure:
Cell: 8.9216 8.9216 6.6558 Å, 90.00 90.00 90.00°
Element x y z (fractional)
1 K 0.0241 0.2500 0.0918
2 K 0.2500 0.0241 0.5918
3 K 0.2500 0.4759 0.5918
4 K 0.4759 0.2500 0.0918
5 K 0.5241 0.7500 0.9082
6 K 0.7500 0.5241 0.4082
7 K 0.7500 0.9759 0.4082
8 K 0.9759 0.7500 0.9082
9 Mn 0.2500 0.7500 0.2500
10 Mn 0.7500 0.2500 0.7500
11 S 0.0397 0.7500 0.4238
12 S 0.2500 0.5397 0.0762
13 S 0.2500 0.9603 0.0762
14 S 0.4603 0.7500 0.4238
15 S 0.5397 0.2500 0.5762
16 S 0.7500 0.0397 0.9238
17 S 0.7500 0.4603 0.9238
18 S 0.9603 0.2500 0.5762

Principal peaks in the range 2θ = 5–70°, in order of rising 2θ:
2theta	Rel. int.
14.04	50
16.62	53
26.04	77
28.29	100
28.63	66
34.53	43
35.11	66
39.36	55
40.44	69
45.69	27

***

# MgCuN
Simulated powder diffraction line list, Cu Ka. Input: a cell relaxed with PBE.

Structure:
Cell: 3.7069 9.3099 4.9233 Å, 90.00 90.00 90.00°
Element x y z (fractional)
1 Mg 0.0000 0.2232 0.0000
2 Mg 0.0000 0.7768 0.5000
3 Mg 0.5000 0.2768 0.5000
4 Mg 0.5000 0.7232 0.0000
5 Cu 0.0000 0.4936 0.6240
6 Cu 0.0000 0.5064 0.1240
7 Cu 0.5000 0.0064 0.1240
8 Cu 0.5000 0.9936 0.6240
9 N 0.0000 0.3452 0.3613
10 N 0.0000 0.6548 0.8613
11 N 0.5000 0.1548 0.8613
12 N 0.5000 0.8452 0.3613

Principal peaks in the range 2θ = 5–70°, in order of rising 2θ:
2theta	Rel. int.
19.07	28
25.87	100
36.50	14
37.81	32
38.69	20
41.50	31
45.28	31
49.16	18
53.56	31
54.24	14

***

# NaInSn
Simulated powder diffraction line list, Cu Ka. Input: a cell relaxed with PBE.

Structure:
Cell: 3.2844 5.3011 9.2168 Å, 90.00 90.10 90.00°
Element x y z (fractional)
1 Na 0.0000 0.0000 0.0000
2 Na 0.0000 0.5000 0.5000
3 In 0.4996 0.0000 0.3346
4 In 0.5004 0.0000 0.6654
5 Sn 0.4976 0.5000 0.8333
6 Sn 0.5024 0.5000 0.1667

Principal peaks in the range 2θ = 5–70°, in order of rising 2θ:
2theta	Rel. int.
19.30	51
27.15	39
33.53	61
33.75	100
43.81	43
43.89	21
48.34	14
60.28	17
60.44	12
67.04	18

***

# Sc3Co5
Simulated powder diffraction line list, Cu Ka. Input: a cell relaxed with PBE.

Structure:
Cell: 4.9668 6.8460 7.1065 Å, 98.45 97.54 96.59°
Element x y z (fractional)
1 Sc 0.0000 0.0000 0.0000
2 Sc 0.0823 0.4365 0.1344
3 Sc 0.3642 0.1653 0.4529
4 Sc 0.5047 0.8176 0.1612
5 Sc 0.5995 0.5461 0.7964
6 Sc 0.8657 0.8750 0.5774
7 Co 0.0252 0.7976 0.2609
8 Co 0.1327 0.6483 0.8437
9 Co 0.2288 0.2472 0.7950
10 Co 0.3219 0.6764 0.4929
11 Co 0.4276 0.9349 0.7858
12 Co 0.5465 0.2261 0.0683
13 Co 0.6386 0.5018 0.3398
14 Co 0.7533 0.2163 0.7667
15 Co 0.8302 0.1507 0.3326
16 Co 0.9918 0.4316 0.5591

Principal peaks in the range 2θ = 5–70°, in order of rising 2θ:
2theta	Rel. int.
38.66	23
38.90	36
38.99	27
39.41	18
40.31	46
41.09	100
44.41	65
45.15	44
45.83	29
46.96	19

***

# In2PtO
Simulated powder diffraction line list, Cu Ka. Input: a cell relaxed with PBE.

Structure:
Cell: 6.3929 6.3929 7.2221 Å, 90.00 90.00 90.00°
Element x y z (fractional)
1 In 0.1958 0.7500 0.1250
2 In 0.2500 0.1958 0.8750
3 In 0.2500 0.3042 0.3750
4 In 0.3042 0.7500 0.6250
5 In 0.6958 0.2500 0.6250
6 In 0.7500 0.6958 0.3750
7 In 0.7500 0.8042 0.8750
8 In 0.8042 0.2500 0.1250
9 Pt 0.0000 0.0000 0.5000
10 Pt 0.0000 0.5000 0.7500
11 Pt 0.5000 0.0000 0.2500
12 Pt 0.5000 0.5000 0.0000
13 O 0.0000 0.0000 0.0000
14 O 0.0000 0.5000 0.2500
15 O 0.5000 0.0000 0.7500
16 O 0.5000 0.5000 0.5000

Principal peaks in the range 2θ = 5–70°, in order of rising 2θ:
2theta	Rel. int.
18.54	27
31.71	100
33.72	59
39.89	44
40.02	15
44.32	22
51.83	39
57.68	12
58.73	31
65.36	16